[1]
The following is a calculated X-ray powder pattern of K3Na. It was derived from a structure optimized by DFT (PBE), using a wavelength of 1.5418 Å.
Peak positions follow from Bragg's law for the DFT cell and can differ from measured ones.

Peak list (10 most intense, 2θ from 10° to 90°, low angle first)
2θ (°), d_spacing, I/Imax, hkl
22.71, 3.916, 23.7, 2 0 0
25.09, 3.549, 24.5, 0 0 2
25.99, 3.429, 100.0, 2 0 1
34.10, 2.630, 15.5, 2 0 2
39.87, 2.261, 19.5, 2 2 0
44.76, 2.025, 19.9, 2 0 3
47.69, 1.907, 21.3, 2 2 2
48.21, 1.888, 15.3, 4 0 1
64.29, 1.449, 11.4, 4 2 1
67.05, 1.396, 6.8, 2 2 4

Cell and atoms:
Lattice parameters (Å, degrees): 9.0437 9.0437 7.0972 90.00 90.00 120.00
Element x y z (fractional)
K  0.1717  0.3434  0.2500
K  0.1717  0.8283  0.2500
K  0.3434  0.1717  0.7500
K  0.6566  0.8283  0.2500
K  0.8283  0.1717  0.7500
K  0.8283  0.6566  0.7500
Na  0.3333  0.6667  0.7500
Na  0.6667  0.3333  0.2500

***

[2]
The following is a calculated X-ray powder pattern of Ba2Cu4Te4Cl4O11. It was derived from a structure optimized by DFT (PBE), using a wavelength of 1.5418 Å.
Peak positions follow from Bragg's law for the DFT cell and can differ from measured ones.

Peak list (10 most intense, 2θ from 10° to 90°, low angle first)
2θ (°), d_spacing, I/Imax, hkl
26.60, 3.351, 44.7, 2 -2 2
28.85, 3.094, 100.0, 1 1 2
29.38, 3.040, 59.7, 1 1 -4
30.56, 2.925, 30.9, -2 2 2
30.64, 2.918, 46.0, 1 -3 0
30.92, 2.892, 38.9, -3 1 2
31.17, 2.869, 32.4, 3 -1 1
31.39, 2.850, 44.0, 1 -3 3
32.50, 2.755, 72.4, 2 2 -2
47.81, 1.903, 30.9, 4 -4 1

Cell and atoms:
Lattice parameters (Å, degrees): 9.3894 9.4065 12.3822 110.91 98.36 108.21
Element x y z (fractional)
Ba  0.0188  0.2802  0.0512
Ba  0.4786  0.2160  0.9418
Ba  0.5214  0.7840  0.0582
Ba  0.9812  0.7198  0.9488
Cu  0.1876  0.4006  0.8294
Cu  0.2328  0.0945  0.5150
Cu  0.3094  0.4457  0.4826
Cu  0.3141  0.1006  0.1707
Cu  0.6859  0.8994  0.8293
Cu  0.6906  0.5543  0.5174
Cu  0.7672  0.9055  0.4850
Cu  0.8124  0.5994  0.1706
Te  0.0256  0.9752  0.7421
Te  0.2182  0.7786  0.2588
Te  0.2714  0.7452  0.7612
Te  0.4485  0.5235  0.2364
Te  0.5515  0.4765  0.7636
Te  0.7286  0.2548  0.2388
Te  0.7818  0.2214  0.7412
Te  0.9744  0.0248  0.2579
Cl  0.1294  0.4629  0.3475
Cl  0.1624  0.3144  0.5815
Cl  0.3717  0.0393  0.6416
Cl  0.4693  0.3006  0.4174
Cl  0.5307  0.6994  0.5826
Cl  0.6283  0.9607  0.3584
Cl  0.8376  0.6856  0.4185
Cl  0.8706  0.5371  0.6525
O  0.0211  0.6185  0.1471
O  0.0875  0.0547  0.1464
O  0.1272  0.9503  0.3381
O  0.1657  0.1957  0.8499
O  0.1938  0.9074  0.8450
O  0.2287  0.6356  0.8625
O  0.2771  0.8713  0.1501
O  0.3083  0.5899  0.1546
O  0.3292  0.2951  0.1345
O  0.4168  0.4521  0.8623
O  0.4801  0.8849  0.8597
O  0.5199  0.1151  0.1403
O  0.5832  0.5479  0.1377
O  0.6708  0.7049  0.8655
O  0.6917  0.4101  0.8454
O  0.7229  0.1287  0.8499
O  0.7713  0.3644  0.1375
O  0.8062  0.0926  0.1550
O  0.8343  0.8043  0.1501
O  0.8728  0.0497  0.6619
O  0.9125  0.9453  0.8536
O  0.9789  0.3815  0.8529

***

[3]
The following is a calculated X-ray powder pattern of YFe4Si2. It was derived from a structure optimized by DFT (PBE), using a wavelength of 1.5418 Å.
Peak positions follow from Bragg's law for the DFT cell and can differ from measured ones.

Peak list (10 most intense, 2θ from 10° to 90°, low angle first)
2θ (°), d_spacing, I/Imax, hkl
35.85, 2.505, 13.0, 2 2 0
37.11, 2.423, 100.0, 2 1 1
40.25, 2.240, 50.1, 3 1 0
43.41, 2.085, 52.9, 2 2 1
47.23, 1.925, 49.8, 3 1 1
48.42, 1.880, 31.9, 0 0 2
53.32, 1.718, 13.7, 4 1 0
59.11, 1.563, 16.0, 4 1 1
64.73, 1.440, 22.6, 3 1 2
71.10, 1.326, 19.3, 4 3 1

Cell and atoms:
Lattice parameters (Å, degrees): 7.0847 7.0847 3.7599 90.00 90.00 90.00
Element x y z (fractional)
Y  0.0000  0.0000  0.0000
Y  0.5000  0.5000  0.5000
Fe  0.0857  0.3543  0.5000
Fe  0.1457  0.5857  0.0000
Fe  0.3543  0.0857  0.5000
Fe  0.4143  0.8543  0.0000
Fe  0.5857  0.1457  0.0000
Fe  0.6457  0.9143  0.5000
Fe  0.8543  0.4143  0.0000
Fe  0.9143  0.6457  0.5000
Si  0.2191  0.7809  0.5000
Si  0.2809  0.2809  0.0000
Si  0.7191  0.7191  0.0000
Si  0.7809  0.2191  0.5000

***

[4]
The following is a calculated X-ray powder pattern of DyMn6GaGe5. It was derived from a structure optimized by DFT (PBE), using a wavelength of 1.5418 Å.
Peak positions follow from Bragg's law for the DFT cell and can differ from measured ones.

Peak list (10 most intense, 2θ from 10° to 90°, low angle first)
2θ (°), d_spacing, I/Imax, hkl
34.70, 2.585, 76.7, 1 1 0
38.52, 2.337, 45.1, 1 0 3
40.28, 2.239, 50.0, 2 0 0
41.25, 2.188, 100.0, 1 1 2
44.07, 2.055, 24.7, 0 0 4
46.17, 1.966, 39.0, 2 0 2
48.41, 1.880, 23.8, 1 1 3
66.66, 1.403, 23.1, 3 0 2
73.22, 1.293, 28.9, 2 2 0
79.12, 1.210, 27.2, 1 1 6

Cell and atoms:
Lattice parameters (Å, degrees): 5.1707 5.1707 8.2195 90.00 90.00 120.00
Element x y z (fractional)
Dy  0.0000  0.0000  0.0000
Mn  0.0008  0.5004  0.2479
Mn  0.0008  0.5004  0.7521
Mn  0.4996  0.5004  0.2479
Mn  0.4996  0.5004  0.7521
Mn  0.4996  0.9992  0.2479
Mn  0.4996  0.9992  0.7521
Ga  0.6667  0.3333  0.5000
Ge  0.0000  0.0000  0.3430
Ge  0.0000  0.0000  0.6570
Ge  0.3333  0.6667  0.0000
Ge  0.3333  0.6667  0.5000
Ge  0.6667  0.3333  0.0000

***

[5]
The following is a calculated X-ray powder pattern of Re3Ru. It was derived from a structure optimized by DFT (PBE), using a wavelength of 1.5418 Å.
Peak positions follow from Bragg's law for the DFT cell and can differ from measured ones.

Peak list (10 most intense, 2θ from 10° to 90°, low angle first)
2θ (°), d_spacing, I/Imax, hkl
18.45, 4.809, 3.1, 1 0 0
27.38, 3.257, 4.1, 1 0 1
37.40, 2.405, 24.2, 2 0 0
40.77, 2.213, 25.5, 0 0 2
42.80, 2.113, 100.0, 2 0 1
56.51, 1.628, 14.8, 2 0 2
67.46, 1.388, 17.4, 2 2 0
75.61, 1.258, 18.9, 2 0 3
81.92, 1.176, 20.5, 2 2 2
83.28, 1.160, 14.8, 4 0 1

Cell and atoms:
Lattice parameters (Å, degrees): 5.5532 5.5532 4.4264 90.00 90.00 120.00
Element x y z (fractional)
Re  0.1643  0.3286  0.2500
Re  0.1643  0.8357  0.2500
Re  0.3286  0.1643  0.7500
Re  0.6714  0.8357  0.2500
Re  0.8357  0.1643  0.7500
Re  0.8357  0.6714  0.7500
Ru  0.3333  0.6667  0.7500
Ru  0.6667  0.3333  0.2500

***

[6]
The following is a calculated X-ray powder pattern of TaSn3. It was derived from a structure optimized by DFT (PBE), using a wavelength of 1.5418 Å.
Peak positions follow from Bragg's law for the DFT cell and can differ from measured ones.

Peak list (10 most intense, 2θ from 10° to 90°, low angle first)
2θ (°), d_spacing, I/Imax, hkl
16.27, 5.449, 4.0, 1 0 0
32.87, 2.724, 22.7, 2 0 0
33.15, 2.703, 30.0, 0 0 2
36.95, 2.433, 100.0, 2 0 1
47.38, 1.919, 16.7, 2 0 2
58.70, 1.573, 17.5, 2 2 0
61.72, 1.503, 23.2, 2 0 3
69.09, 1.359, 21.8, 2 2 2
71.41, 1.321, 14.8, 4 0 1
79.11, 1.211, 3.9, 2 0 4

Cell and atoms:
Lattice parameters (Å, degrees): 6.2917 6.2917 5.4055 90.00 90.00 120.00
Element x y z (fractional)
Ta  0.3333  0.6667  0.2500
Ta  0.6667  0.3333  0.7500
Sn  0.1742  0.3485  0.7500
Sn  0.1742  0.8258  0.7500
Sn  0.3485  0.1742  0.2500
Sn  0.6515  0.8258  0.7500
Sn  0.8258  0.1742  0.2500
Sn  0.8258  0.6515  0.2500

***

[7]
The following is a calculated X-ray powder pattern of TmIO. It was derived from a structure optimized by DFT (PBE), using a wavelength of 1.5418 Å.
Peak positions follow from Bragg's law for the DFT cell and can differ from measured ones.

Peak list (10 most intense, 2θ from 10° to 90°, low angle first)
2θ (°), d_spacing, I/Imax, hkl
29.19, 3.059, 100.0, 1 0 2
32.56, 2.750, 49.8, 1 1 0
35.67, 2.517, 49.8, 1 0 3
45.79, 1.982, 9.4, 0 0 5
46.71, 1.945, 22.7, 2 0 0
56.04, 1.641, 32.1, 2 1 2
57.31, 1.608, 23.6, 1 1 5
60.13, 1.539, 21.9, 2 1 3
67.48, 1.388, 12.1, 2 0 5
89.21, 1.098, 9.8, 2 1 7

Cell and atoms:
Lattice parameters (Å, degrees): 3.8891 3.8891 9.9078 90.00 90.00 90.00
Element x y z (fractional)
Tm  0.2500  0.2500  0.1078
Tm  0.7500  0.7500  0.8922
I  0.2500  0.2500  0.6983
I  0.7500  0.7500  0.3017
O  0.2500  0.7500  0.0000
O  0.7500  0.2500  0.0000